Simulated powder diffraction line list of Na2CoTeO4 for CuKα, from a GGA+U-relaxed structure.

a b c (Å): 5.430 5.441 5.520
angles (deg): 61.61 61.64 87.51
Fractional positions:
1 Na 0.000 0.000 0.000
2 Na 0.233 0.768 0.500
3 Co 0.647 0.354 0.500
4 Te 0.523 0.477 0.000
5 O 0.380 0.179 0.471
6 O 0.461 0.146 0.962
7 O 0.821 0.620 0.529
8 O 0.854 0.540 0.038

Largest 8 diffraction maxima, in order of rising 2θ, 2θ from 10° to 90°:
- 2θ 19.10, rel. 100
- 2θ 23.67, rel. 47
- 2θ 30.23, rel. 20
- 2θ 32.10, rel. 30
- 2θ 33.03, rel. 45
- 2θ 38.76, rel. 19
- 2θ 43.54, rel. 20
- 2θ 46.37, rel. 16